Entry 1:
BaYIn4O8: calculated powder XRD pattern (a wavelength of 1.5418 Å), based on a cell relaxed with GGA-PBE.
Intensities are scaled so that the largest is 100.

Largest 8 diffraction maxima, most intense first, 10° ≤ 2θ ≤ 90°:
hkl  2theta  I/Imax
1 1 3  30.62  100.0
0 2 1  30.75  64.2
0 1 5  30.36  52.5
2 0 8  53.15  44.5
1 0 4  25.85  43.6
2 2 0  53.81  43.5
1 2 5  48.85  33.5
2 0 2  32.11  31.0

Lattice parameters (Å, degrees): 6.8147 6.8147 16.9814 90.00 90.00 120.00
Space group R3m (No. 160, hexagonal axes)
Inequivalent atoms, fractional coordinates:
Ba (0.0000, 0.0000, 0.0000) (multiplicity 3)
Y (0.0000, 0.0000, 0.3727) (multiplicity 3)
In (0.0000, 0.0000, 0.7506) (multiplicity 3)
In (0.0037, 0.5018, 0.8749) (multiplicity 9)
O (0.0000, 0.0000, 0.1467) (multiplicity 3)
O (0.0000, 0.0000, 0.6094) (multiplicity 3)
O (0.0244, 0.5122, 0.1301) (multiplicity 9)
O (0.1942, 0.3885, 0.9490) (multiplicity 9)

=====

Entry 2:
BaInSbOs2: calculated powder XRD pattern (a wavelength of 1.5418 Å), based on a cell relaxed with GGA-PBE.
Intensities are scaled so that the largest is 100.

Largest 8 diffraction maxima, most intense first, 10° ≤ 2θ ≤ 90°:
hkl  2theta  I/Imax
1 1 1  29.58  100.0
2 0 0  35.28  67.1
2 0 2  48.51  54.5
0 0 2  32.21  42.8
3 1 1  59.84  27.7
2 2 2  61.39  26.9
2 2 0  50.75  23.8
0 0 1  15.94  23.1

Lattice parameters (Å, degrees): 5.0879 5.0879 5.5589 90.00 90.00 90.00
Space group P4/mmm (No. 123)
Inequivalent atoms, fractional coordinates:
Ba (0.0000, 0.0000, 0.0000) (multiplicity 1)
In (0.5000, 0.5000, 0.5000) (multiplicity 1)
Sb (0.5000, 0.5000, 0.0000) (multiplicity 1)
Os (0.0000, 0.5000, 0.5000) (multiplicity 2)

=====

Entry 3:
Ba7In2P: calculated powder XRD pattern (a wavelength of 1.5418 Å), based on a cell relaxed with GGA-PBE.
Intensities are scaled so that the largest is 100.

Largest 8 diffraction maxima, most intense first, 10° ≤ 2θ ≤ 90°:
hkl  2theta  I/Imax
5 1 -1  26.03  100.0
1 1 -3  24.46  63.8
4 2 0  29.57  60.0
4 0 2  30.13  58.4
2 2 2  30.42  34.2
6 0 -2  28.83  29.7
2 2 0  23.52  24.2
0 2 2  26.37  23.5

Lattice parameters (Å, degrees): 18.7782 8.3977 12.2822 90.00 111.94 90.00
Space group C2/c (No. 15)
Inequivalent atoms, fractional coordinates:
Ba (0.0000, 0.1410, 0.2500) (multiplicity 4)
Ba (0.0973, 0.2740, 0.6190) (multiplicity 8)
Ba (0.1309, 0.2291, 0.0082) (multiplicity 8)
Ba (0.1912, 0.4119, 0.3517) (multiplicity 8)
In (0.2088, 0.0007, 0.8383) (multiplicity 8)
P (0.0000, 0.4657, 0.7500) (multiplicity 4)

=====

Entry 4:
Ba2In2Sb2P: calculated powder XRD pattern (a wavelength of 1.5418 Å), based on a cell relaxed with GGA-PBE.
Intensities are scaled so that the largest is 100.

Largest 8 diffraction maxima, most intense first, 10° ≤ 2θ ≤ 90°:
hkl  2theta  I/Imax
1 0 -2  29.24  100.0
0 2 0  29.08  29.1
0 2 -2  29.44  24.9
1 1 0  30.04  23.8
1 -2 0  30.17  21.7
0 1 2  30.63  20.3
2 -1 0  41.93  18.6
0 1 -4  41.73  18.0

Lattice parameters (Å, degrees): 4.3092 6.9300 8.6641 110.29 90.03 107.87
Space group P-1 (No. 2)
Inequivalent atoms, fractional coordinates:
Ba (0.0054, 0.0088, 0.2675) (multiplicity 2)
In (0.2841, 0.5728, 0.8888) (multiplicity 2)
Sb (0.2997, 0.5751, 0.3940) (multiplicity 2)
P (0.5000, 0.0000, 0.0000) (multiplicity 1)

=====

Entry 5:
Ba2PaInTe5: calculated powder XRD pattern (a wavelength of 1.5418 Å), based on a cell relaxed with GGA-PBE.
Intensities are scaled so that the largest is 100.

Largest 8 diffraction maxima, most intense first, 10° ≤ 2θ ≤ 90°:
hkl  2theta  I/Imax
1 1 3  26.85  100.0
0 6 1  27.49  53.9
2 0 0  38.33  42.3
1 5 2  31.90  30.7
1 7 2  38.96  24.4
2 6 1  47.81  23.7
1 7 4  44.80  17.3
1 3 4  34.03  15.9

Lattice parameters (Å, degrees): 4.6973 19.9714 14.4919 90.00 90.00 90.00
Space group Cmc2_1 (No. 36)
Inequivalent atoms, fractional coordinates:
Ba (0.0000, 0.1107, 0.0000) (multiplicity 4)
Ba (0.0000, 0.1351, 0.6233) (multiplicity 4)
Pa (0.0000, 0.2079, 0.3288) (multiplicity 4)
In (0.0000, 0.4685, 0.7657) (multiplicity 4)
Te (0.0000, 0.0567, 0.3828) (multiplicity 4)
Te (0.0000, 0.2853, 0.9705) (multiplicity 4)
Te (0.0000, 0.3134, 0.6857) (multiplicity 4)
Te (0.0000, 0.3612, 0.3147) (multiplicity 4)
Te (0.0000, 0.4913, 0.0745) (multiplicity 4)

=====

Entry 6:
Ba8In2Pb: calculated powder XRD pattern (a wavelength of 1.5418 Å), based on a cell relaxed with GGA-PBE.
Intensities are scaled so that the largest is 100.

Largest 8 diffraction maxima, most intense first, 10° ≤ 2θ ≤ 90°:
hkl  2theta  I/Imax
1 2 3  28.24  100.0
2 0 0  30.23  27.3
1 1 4  26.93  26.4
0 0 6  30.59  19.2
3 2 3  52.48  17.7
2 0 6  43.54  14.5
0 3 1  27.99  14.2
0 4 0  36.99  10.1

Lattice parameters (Å, degrees): 5.9136 9.7261 17.5359 90.00 90.00 90.00
Space group Immm (No. 71)
Inequivalent atoms, fractional coordinates:
Ba (0.0000, 0.0000, 0.1428) (multiplicity 4)
Ba (0.0000, 0.2199, 0.3427) (multiplicity 8)
Ba (0.0000, 0.3174, 0.0000) (multiplicity 4)
In (0.0000, 0.5000, 0.1904) (multiplicity 4)
Pb (0.0000, 0.5000, 0.5000) (multiplicity 2)

=====

Entry 7:
Ba2In3Pb5: calculated powder XRD pattern (a wavelength of 1.5418 Å), based on a cell relaxed with GGA-PBE.
Intensities are scaled so that the largest is 100.

Largest 8 diffraction maxima, most intense first, 10° ≤ 2θ ≤ 90°:
hkl  2theta  I/Imax
4 2 0  27.89  100.0
2 2 -2  27.99  99.5
2 4 -2  36.31  94.2
2 0 2  34.33  63.6
6 0 -2  35.75  56.8
3 3 -1  26.53  38.9
1 5 1  37.38  35.2
1 3 1  26.07  32.0

Lattice parameters (Å, degrees): 15.9710 13.5531 7.2308 90.00 114.65 90.00
Space group C2/c (No. 15)
Inequivalent atoms, fractional coordinates:
Ba (0.1266, 0.2492, 0.1275) (multiplicity 8)
In (0.0000, 0.4957, 0.2500) (multiplicity 4)
In (0.1231, 0.1357, 0.6226) (multiplicity 8)
Pb (0.0000, 0.0035, 0.2500) (multiplicity 4)
Pb (0.1187, 0.3586, 0.6189) (multiplicity 8)
Pb (0.2488, 0.0034, 0.9974) (multiplicity 8)

=====

Entry 8:
Ba3InPb: calculated powder XRD pattern (a wavelength of 1.5418 Å), based on a cell relaxed with GGA-PBE.
Intensities are scaled so that the largest is 100.

Largest 8 diffraction maxima, most intense first, 10° ≤ 2θ ≤ 90°:
hkl  2theta  I/Imax
2 1 -1  26.18  100.0
2 0 -4  31.52  70.2
1 1 -3  31.78  67.3
1 0 2  22.88  62.9
2 0 0  17.51  51.9
1 1 2  31.19  47.8
3 1 -2  32.13  40.8
6 1 -3  52.96  38.3

Lattice parameters (Å, degrees): 11.3684 4.2536 11.3700 90.00 116.97 90.00
Space group P2 (No. 3)
Inequivalent atoms, fractional coordinates:
Ba (0.0813, 0.0000, 0.2922) (multiplicity 2)
Ba (0.2927, 0.0011, 0.0825) (multiplicity 2)
Ba (0.3504, 0.5000, 0.6495) (multiplicity 2)
In (0.0000, 0.4997, 0.5000) (multiplicity 1)
In (0.5000, 0.5013, 0.0000) (multiplicity 1)
Pb (0.0000, 0.5006, 0.0000) (multiplicity 1)
Pb (0.5000, 0.0002, 0.5000) (multiplicity 1)

=====

Entry 9:
BaIn2RuPb: calculated powder XRD pattern (a wavelength of 1.5418 Å), based on a cell relaxed with GGA-PBE.
Intensities are scaled so that the largest is 100.

Largest 8 diffraction maxima, most intense first, 10° ≤ 2θ ≤ 90°:
hkl  2theta  I/Imax
1 1 1  29.39  100.0
2 0 0  34.24  69.9
2 0 2  48.81  51.0
0 0 2  33.71  36.4
3 1 1  58.35  28.9
1 0 0  16.93  26.2
2 2 2  60.97  26.0
2 2 0  49.20  24.9

Lattice parameters (Å, degrees): 5.2382 5.2382 5.3178 90.00 90.00 90.00
Space group P4/mmm (No. 123)
Inequivalent atoms, fractional coordinates:
Ba (0.0000, 0.0000, 0.0000) (multiplicity 1)
In (0.0000, 0.5000, 0.5000) (multiplicity 2)
Ru (0.5000, 0.5000, 0.5000) (multiplicity 1)
Pb (0.5000, 0.5000, 0.0000) (multiplicity 1)

=====

Entry 10:
BaInTe4Pb2: calculated powder XRD pattern (a wavelength of 1.5418 Å), based on a cell relaxed with GGA-PBE.
Intensities are scaled so that the largest is 100.

Largest 8 diffraction maxima, most intense first, 10° ≤ 2θ ≤ 90°:
hkl  2theta  I/Imax
2 2 0  26.79  100.0
0 4 0  38.22  65.0
2 6 0  62.32  18.3
0 4 4  47.21  14.2
4 0 4  47.41  13.8
2 6 4  69.01  13.6
4 0 0  38.39  12.7
4 4 4  62.42  12.1

Lattice parameters (Å, degrees): 9.3785 9.4346 13.3280 90.00 90.00 90.00
Space group Imma (No. 74)
Inequivalent atoms, fractional coordinates:
Ba (0.0000, 0.0000, 0.0000) (multiplicity 4)
In (0.2500, 0.2500, 0.2500) (multiplicity 4)
Te (0.0000, 0.0055, 0.2572) (multiplicity 8)
Te (0.2371, 0.2500, 0.4971) (multiplicity 8)
Pb (0.0000, 0.0000, 0.5000) (multiplicity 4)
Pb (0.2500, 0.2500, 0.7500) (multiplicity 4)

=====

Entry 11:
Ba2In6Pd3: calculated powder XRD pattern (a wavelength of 1.5418 Å), based on a cell relaxed with GGA-PBE.
Intensities are scaled so that the largest is 100.

Largest 8 diffraction maxima, most intense first, 10° ≤ 2θ ≤ 90°:
hkl  2theta  I/Imax
0 0 2  37.58  100.0
1 1 1  28.18  91.1
3 0 0  36.83  40.7
4 1 1  61.17  28.3
3 0 2  53.67  26.9
2 1 0  32.35  19.1
3 0 1  41.55  14.1
2 2 1  47.01  13.3

Lattice parameters (Å, degrees): 8.4535 8.4535 4.7812 90.00 90.00 120.00
Space group P-62m (No. 189)
Inequivalent atoms, fractional coordinates:
Ba (0.3333, 0.6667, 0.0000) (multiplicity 2)
In (0.0000, 0.2036, 0.0000) (multiplicity 3)
In (0.0000, 0.6995, 0.5000) (multiplicity 3)
Pd (0.0000, 0.3665, 0.5000) (multiplicity 3)

=====

Entry 12:
BaIn2Pd4: calculated powder XRD pattern (a wavelength of 1.5418 Å), based on a cell relaxed with GGA-PBE.
Intensities are scaled so that the largest is 100.

Largest 8 diffraction maxima, most intense first, 10° ≤ 2θ ≤ 90°:
hkl  2theta  I/Imax
2 1 3  39.52  100.0
3 1 0  33.90  75.2
5 2 3  68.69  29.0
1 1 0  14.98  14.2
4 0 0  43.28  14.1
3 3 0  46.04  12.4
1 1 2  25.56  11.1
4 0 6  81.17  11.1

Lattice parameters (Å, degrees): 8.3629 8.3629 8.6301 90.00 90.00 90.00
Space group I4/mcm (No. 140)
Inequivalent atoms, fractional coordinates:
Ba (0.0000, 0.0000, 0.2500) (multiplicity 4)
In (0.1514, 0.3486, 0.0000) (multiplicity 8)
Pd (0.1441, 0.3559, 0.3373) (multiplicity 16)

=====

> Which formula does entry 2 have?

BaInSbOs2